Record 1
Structure and simulated powder XRD pattern of CaCdCu2F8 (a GGA-PBE-relaxed structure; copper Kα).
Lines closer than 0.1° are merged.

Top 10 peaks for 2θ from 15° to 90°, sorted by position:
- d = 4.865 Å, 18.2 deg, I = 11
- d = 3.130 Å, 28.5 deg, I = 100
- d = 2.733 Å, 32.8 deg, I = 18
- d = 2.669 Å, 33.6 deg, I = 19
- d = 2.383 Å, 37.8 deg, I = 11
- d = 1.932 Å, 47.0 deg, I = 18
- d = 1.909 Å, 47.6 deg, I = 25
- d = 1.644 Å, 55.9 deg, I = 40
- d = 1.616 Å, 57.0 deg, I = 16
- d = 1.565 Å, 59.0 deg, I = 13

Cell and atoms:
Unit cell a=6.590 b=6.590 c=6.590 alpha=131.00 beta=131.00 gamma=71.82
Positions (direct):
Ca  0.000  0.000  0.000
Cd  0.250  0.750  0.500
Cu  0.500  0.500  0.000
Cu  0.750  0.250  0.500
F  0.268  0.407  0.554
F  0.286  0.732  0.139
F  0.397  0.035  0.053
F  0.593  0.147  0.861
F  0.656  0.603  0.638
F  0.853  0.714  0.446
F  0.965  0.018  0.362
F  0.982  0.344  0.947

Record 2
Structure and simulated powder XRD pattern of PmNd4In2 (a GGA-PBE-relaxed structure; copper Kα).
Lines closer than 0.1° are merged.

Top 10 peaks for 2θ from 15° to 90°, sorted by position:
- d = 3.088 Å, 28.9 deg, I = 82
- d = 3.031 Å, 29.5 deg, I = 47
- d = 2.875 Å, 31.1 deg, I = 63
- d = 2.841 Å, 31.5 deg, I = 74
- d = 2.829 Å, 31.6 deg, I = 59
- d = 2.755 Å, 32.5 deg, I = 38
- d = 2.716 Å, 33.0 deg, I = 78
- d = 2.681 Å, 33.4 deg, I = 91
- d = 2.613 Å, 34.3 deg, I = 100
- d = 2.522 Å, 35.6 deg, I = 66

Cell and atoms:
Unit cell a=8.008 b=8.570 c=6.693 alpha=90.00 beta=104.48 gamma=90.00
Positions (direct):
Pm  0.000  0.000  0.000
Pm  0.000  0.500  0.500
Nd  0.206  0.242  0.323
Nd  0.206  0.258  0.823
Nd  0.433  0.594  0.738
Nd  0.433  0.906  0.238
Nd  0.567  0.094  0.762
Nd  0.567  0.406  0.262
Nd  0.794  0.742  0.177
Nd  0.794  0.758  0.677
In  0.164  0.604  0.061
In  0.164  0.896  0.561
In  0.836  0.104  0.439
In  0.836  0.396  0.939

Record 3
Structure and simulated powder XRD pattern of ZrPtPb2O6 (a GGA-PBE-relaxed structure; copper Kα).
Lines closer than 0.1° are merged.

Top 10 peaks for 2θ from 15° to 90°, sorted by position:
- d = 3.235 Å, 27.6 deg, I = 46
- d = 2.975 Å, 30.0 deg, I = 37
- d = 2.940 Å, 30.4 deg, I = 100
- d = 2.183 Å, 41.4 deg, I = 20
- d = 2.176 Å, 41.5 deg, I = 25
- d = 2.091 Å, 43.3 deg, I = 16
- d = 1.749 Å, 52.3 deg, I = 16
- d = 1.704 Å, 53.8 deg, I = 15
- d = 1.698 Å, 54.0 deg, I = 21
- d = 1.470 Å, 63.3 deg, I = 17

Cell and atoms:
Unit cell a=10.346 b=10.346 c=10.346 alpha=33.02 beta=33.02 gamma=33.02
Positions (direct):
Zr  0.096  0.096  0.096
Zr  0.904  0.904  0.904
Pt  0.000  0.000  0.000
Pt  0.500  0.500  0.500
Pb  0.227  0.227  0.227
Pb  0.356  0.356  0.356
Pb  0.644  0.644  0.644
Pb  0.773  0.773  0.773
O  0.121  0.121  0.634
O  0.121  0.634  0.121
O  0.219  0.700  0.700
O  0.300  0.300  0.781
O  0.300  0.781  0.300
O  0.366  0.879  0.879
O  0.634  0.121  0.121
O  0.700  0.219  0.700
O  0.700  0.700  0.219
O  0.781  0.300  0.300
O  0.879  0.366  0.879
O  0.879  0.879  0.366

Record 4
Structure and simulated powder XRD pattern of Ca8ZnCu2 (a GGA-PBE-relaxed structure; copper Kα).
Lines closer than 0.1° are merged.

Top 10 peaks for 2θ from 15° to 90°, sorted by position:
- d = 5.776 Å, 15.3 deg, I = 36
- d = 4.391 Å, 20.2 deg, I = 58
- d = 3.110 Å, 28.7 deg, I = 84
- d = 2.913 Å, 30.7 deg, I = 75
- d = 2.894 Å, 30.9 deg, I = 100
- d = 2.676 Å, 33.5 deg, I = 50
- d = 2.655 Å, 33.8 deg, I = 43
- d = 2.582 Å, 34.7 deg, I = 42
- d = 2.455 Å, 36.6 deg, I = 59
- d = 2.431 Å, 37.0 deg, I = 57

Cell and atoms:
Unit cell a=8.152 b=8.152 c=6.012 alpha=98.94 beta=98.94 gamma=111.74
Positions (direct):
Ca  0.000  0.000  0.000
Ca  0.039  0.300  0.604
Ca  0.142  0.602  0.194
Ca  0.300  0.039  0.604
Ca  0.442  0.704  0.790
Ca  0.602  0.142  0.194
Ca  0.704  0.442  0.790
Ca  0.740  0.740  0.380
Zn  0.370  0.370  0.062
Cu  0.056  0.682  0.689
Cu  0.682  0.056  0.689

Record 5
Structure and simulated powder XRD pattern of AcTb2ErAs4 (a GGA-PBE-relaxed structure; copper Kα).
Lines closer than 0.1° are merged.

Top 10 peaks for 2θ from 15° to 90°, sorted by position:
- d = 3.460 Å, 25.7 deg, I = 29
- d = 2.996 Å, 29.8 deg, I = 100
- d = 2.119 Å, 42.7 deg, I = 75
- d = 1.807 Å, 50.5 deg, I = 15
- d = 1.730 Å, 52.9 deg, I = 27
- d = 1.498 Å, 61.9 deg, I = 12
- d = 1.340 Å, 70.2 deg, I = 23
- d = 1.339 Å, 70.3 deg, I = 11
- d = 1.223 Å, 78.1 deg, I = 19
- d = 1.222 Å, 78.2 deg, I = 6

Cell and atoms:
Unit cell a=7.335 b=4.237 c=7.339 alpha=90.00 beta=109.37 gamma=90.00
Positions (direct):
Ac  0.000  0.000  0.000
Tb  0.000  0.500  0.500
Tb  0.500  0.000  0.500
Er  0.500  0.500  0.000
As  0.259  0.000  0.745
As  0.266  0.500  0.264
As  0.734  0.500  0.736
As  0.741  0.000  0.255

Record 6
Structure and simulated powder XRD pattern of CdGeF3 (a GGA-PBE-relaxed structure; copper Kα).
Lines closer than 0.1° are merged.

Top 10 peaks for 2θ from 15° to 90°, sorted by position:
- d = 5.730 Å, 15.5 deg, I = 30
- d = 4.997 Å, 17.8 deg, I = 51
- d = 4.223 Å, 21.0 deg, I = 54
- d = 4.028 Å, 22.1 deg, I = 66
- d = 3.446 Å, 25.9 deg, I = 86
- d = 3.301 Å, 27.0 deg, I = 100
- d = 2.808 Å, 31.9 deg, I = 33
- d = 2.573 Å, 34.9 deg, I = 29
- d = 2.414 Å, 37.2 deg, I = 33
- d = 2.389 Å, 37.6 deg, I = 50

Cell and atoms:
Unit cell a=5.182 b=6.994 c=10.510 alpha=90.00 beta=108.04 gamma=90.00
Positions (direct):
Cd  0.172  0.116  0.261
Cd  0.172  0.384  0.761
Cd  0.828  0.616  0.239
Cd  0.828  0.884  0.739
Ge  0.446  0.102  0.091
Ge  0.446  0.398  0.591
Ge  0.554  0.602  0.409
Ge  0.554  0.898  0.909
F  0.206  0.218  0.466
F  0.206  0.282  0.966
F  0.221  0.038  0.762
F  0.221  0.462  0.262
F  0.287  0.710  0.875
F  0.287  0.790  0.375
F  0.713  0.210  0.625
F  0.713  0.290  0.125
F  0.779  0.538  0.738
F  0.779  0.962  0.238
F  0.794  0.718  0.034
F  0.794  0.782  0.534

Record 7
Structure and simulated powder XRD pattern of Nd8Te4AuSe3 (a GGA-PBE-relaxed structure; copper Kα).
Lines closer than 0.1° are merged.

Top 10 peaks for 2θ from 15° to 90°, sorted by position:
- d = 3.100 Å, 28.8 deg, I = 100
- d = 2.208 Å, 40.9 deg, I = 36
- d = 2.176 Å, 41.5 deg, I = 38
- d = 1.817 Å, 50.2 deg, I = 6
- d = 1.781 Å, 51.3 deg, I = 20
- d = 1.550 Å, 59.7 deg, I = 12
- d = 1.395 Å, 67.1 deg, I = 15
- d = 1.378 Å, 68.0 deg, I = 17
- d = 1.262 Å, 75.3 deg, I = 12
- d = 1.256 Å, 75.7 deg, I = 6

Cell and atoms:
Unit cell a=8.703 b=8.703 c=8.835 alpha=119.50 beta=119.50 gamma=60.00
Positions (direct):
Nd  0.240  0.240  0.721
Nd  0.243  0.743  0.728
Nd  0.257  0.757  0.272
Nd  0.258  0.258  0.273
Nd  0.742  0.742  0.727
Nd  0.743  0.243  0.728
Nd  0.757  0.257  0.272
Nd  0.760  0.760  0.279
Te  0.000  0.000  0.000
Te  0.000  0.500  0.000
Te  0.500  0.000  0.000
Te  0.500  0.500  0.000
Au  0.500  0.500  0.500
Se  0.000  0.000  0.500
Se  0.000  0.500  0.500
Se  0.500  0.000  0.500

Record 8
Structure and simulated powder XRD pattern of Sm2Tm5Ge4 (a GGA-PBE-relaxed structure; copper Kα).
Lines closer than 0.1° are merged.

Top 10 peaks for 2θ from 15° to 90°, sorted by position:
- d = 3.440 Å, 25.9 deg, I = 52
- d = 3.172 Å, 28.1 deg, I = 59
- d = 2.948 Å, 30.3 deg, I = 100
- d = 2.870 Å, 31.2 deg, I = 96
- d = 2.851 Å, 31.4 deg, I = 51
- d = 2.665 Å, 33.6 deg, I = 54
- d = 2.594 Å, 34.6 deg, I = 80
- d = 2.433 Å, 37.0 deg, I = 45
- d = 2.414 Å, 37.3 deg, I = 76
- d = 1.722 Å, 53.2 deg, I = 52

Cell and atoms:
Unit cell a=12.826 b=12.826 c=6.893 alpha=93.39 beta=93.39 gamma=15.44
Positions (direct):
Sm  0.095  0.095  0.209
Sm  0.905  0.905  0.791
Tm  0.130  0.130  0.706
Tm  0.240  0.240  0.263
Tm  0.500  0.500  0.500
Tm  0.760  0.760  0.737
Tm  0.870  0.870  0.294
Ge  0.024  0.024  0.842
Ge  0.324  0.324  0.994
Ge  0.676  0.676  0.006
Ge  0.976  0.976  0.158

Record 9
Structure and simulated powder XRD pattern of SmDy7 (a GGA-PBE-relaxed structure; copper Kα).
Lines closer than 0.1° are merged.

Top 8 peaks for 2θ from 15° to 90°, sorted by position:
- d = 2.896 Å, 30.9 deg, I = 100
- d = 2.508 Å, 35.8 deg, I = 51
- d = 1.774 Å, 51.5 deg, I = 36
- d = 1.513 Å, 61.3 deg, I = 43
- d = 1.448 Å, 64.3 deg, I = 12
- d = 1.254 Å, 75.9 deg, I = 6
- d = 1.151 Å, 84.1 deg, I = 18
- d = 1.122 Å, 86.8 deg, I = 17

Cell and atoms:
Unit cell a=7.094 b=7.094 c=7.094 alpha=60.00 beta=60.00 gamma=60.00
Positions (direct):
Sm  0.000  0.000  0.000
Dy  0.000  0.000  0.500
Dy  0.000  0.500  0.000
Dy  0.000  0.500  0.500
Dy  0.500  0.000  0.000
Dy  0.500  0.000  0.500
Dy  0.500  0.500  0.000
Dy  0.500  0.500  0.500

Record 10
Structure and simulated powder XRD pattern of CaLuZnIn (a GGA-PBE-relaxed structure; copper Kα).
Lines closer than 0.1° are merged.

Top 10 peaks for 2θ from 15° to 90°, sorted by position:
- d = 4.247 Å, 20.9 deg, I = 27
- d = 2.601 Å, 34.5 deg, I = 100
- d = 2.218 Å, 40.7 deg, I = 15
- d = 1.839 Å, 49.6 deg, I = 18
- d = 1.688 Å, 54.4 deg, I = 7
- d = 1.502 Å, 61.8 deg, I = 36
- d = 1.416 Å, 66.0 deg, I = 5
- d = 1.301 Å, 72.7 deg, I = 11
- d = 1.244 Å, 76.6 deg, I = 5
- d = 1.163 Å, 83.0 deg, I = 15

Cell and atoms:
Unit cell a=5.202 b=5.202 c=5.202 alpha=60.00 beta=60.00 gamma=60.00
Positions (direct):
Ca  0.000  0.000  0.000
Lu  0.500  0.500  0.500
Zn  0.750  0.750  0.750
In  0.250  0.250  0.250

Q: Which formula does entry 6 have?
A: CdGeF3

Repeat the first record exactly.
Structure and simulated powder XRD pattern of CaCdCu2F8 (a GGA-PBE-relaxed structure; copper Kα).
Lines closer than 0.1° are merged.

Top 10 peaks for 2θ from 15° to 90°, sorted by position:
- d = 4.865 Å, 18.2 deg, I = 11
- d = 3.130 Å, 28.5 deg, I = 100
- d = 2.733 Å, 32.8 deg, I = 18
- d = 2.669 Å, 33.6 deg, I = 19
- d = 2.383 Å, 37.8 deg, I = 11
- d = 1.932 Å, 47.0 deg, I = 18
- d = 1.909 Å, 47.6 deg, I = 25
- d = 1.644 Å, 55.9 deg, I = 40
- d = 1.616 Å, 57.0 deg, I = 16
- d = 1.565 Å, 59.0 deg, I = 13

Cell and atoms:
Unit cell a=6.590 b=6.590 c=6.590 alpha=131.00 beta=131.00 gamma=71.82
Positions (direct):
Ca  0.000  0.000  0.000
Cd  0.250  0.750  0.500
Cu  0.500  0.500  0.000
Cu  0.750  0.250  0.500
F  0.268  0.407  0.554
F  0.286  0.732  0.139
F  0.397  0.035  0.053
F  0.593  0.147  0.861
F  0.656  0.603  0.638
F  0.853  0.714  0.446
F  0.965  0.018  0.362
F  0.982  0.344  0.947